Diffraction record for ScSi2H. The X-ray powder pattern is calculated, not measured: it uses a cell relaxed with PBE and Cu Kα.
Peak positions follow from Bragg's law for the DFT cell and can differ from measured ones.

Structural model:
abc: 6.0822 6.0822 6.0822
angles: 133.02 133.02 68.62
Element x y z (fractional)
Sc: 0.3750 0.6250 0.7500
Sc: 0.6250 0.3750 0.2500
Si: 0.0000 0.0000 0.0000
Si: 0.0000 0.0000 0.5000
Si: 0.0000 0.5000 0.0000
Si: 0.5000 0.0000 0.5000
H: 0.1250 0.8750 0.2500
H: 0.8750 0.1250 0.7500

Most intense lines, 10° ≤ 2θ ≤ 80°, by intensity:
d [Å]  intensity
2.756  100
2.119  89
2.832  66
2.183  46
1.416  34
1.856  29

Diffraction record for LaS3O12. The X-ray powder pattern is calculated, not measured: it uses a cell relaxed with PBE and Cu Kα.
Peak positions follow from Bragg's law for the DFT cell and can differ from measured ones.

Structural model:
abc: 10.2445 10.2445 10.2445
angles: 49.18 49.18 49.18
Element x y z (fractional)
La: 0.0000 0.0000 0.0000
La: 0.5000 0.5000 0.5000
S: 0.0953 0.3675 0.7221
S: 0.2221 0.8675 0.5953
S: 0.3675 0.7221 0.0953
S: 0.5953 0.2221 0.8675
S: 0.7221 0.0953 0.3675
S: 0.8675 0.5953 0.2221
O: 0.0494 0.4732 0.1261
O: 0.1261 0.0494 0.4732
O: 0.1578 0.2208 0.6725
O: 0.1711 0.8794 0.7604
O: 0.1725 0.7208 0.6578
O: 0.2208 0.6725 0.1578
O: 0.2604 0.3794 0.6711
O: 0.3067 0.9301 0.9843
O: 0.3794 0.6711 0.2604
O: 0.4301 0.8067 0.4843
O: 0.4732 0.1261 0.0494
O: 0.4843 0.4301 0.8067
O: 0.5494 0.6261 0.9732
O: 0.6261 0.9732 0.5494
O: 0.6578 0.1725 0.7208
O: 0.6711 0.2604 0.3794
O: 0.6725 0.1578 0.2208
O: 0.7208 0.6578 0.1725
O: 0.7604 0.1711 0.8794
O: 0.8067 0.4843 0.4301
O: 0.8794 0.7604 0.1711
O: 0.9301 0.9843 0.3067
O: 0.9732 0.5494 0.6261
O: 0.9843 0.3067 0.9301

Most intense lines, 10° ≤ 2θ ≤ 80°, by intensity:
d [Å]  intensity
6.475  100
3.851  39
3.092  37
4.977  32
2.149  20
3.238  19

Diffraction record for Li5Al2Ag. The X-ray powder pattern is calculated, not measured: it uses a cell relaxed with PBE and Cu Kα.
Peak positions follow from Bragg's law for the DFT cell and can differ from measured ones.

Structural model:
abc: 5.5986 10.9135 4.3641
angles: 90.00 90.00 90.00
Element x y z (fractional)
Li: 0.0000 0.0000 0.0000
Li: 0.1005 0.2511 0.0000
Li: 0.1838 0.8625 0.5000
Li: 0.3162 0.3625 0.5000
Li: 0.3995 0.7511 0.0000
Li: 0.5000 0.5000 0.0000
Li: 0.6005 0.2489 0.0000
Li: 0.6838 0.6375 0.5000
Li: 0.8162 0.1375 0.5000
Li: 0.8995 0.7489 0.0000
Al: 0.1791 0.6040 0.5000
Al: 0.3209 0.1040 0.5000
Al: 0.6791 0.8960 0.5000
Al: 0.8209 0.3960 0.5000
Ag: 0.0000 0.5000 0.0000
Ag: 0.5000 0.0000 0.0000

Most intense lines, 10° ≤ 2θ ≤ 80°, by intensity:
d [Å]  intensity
4.981  100
5.457  58
3.283  39
2.313  30
2.500  28
2.356  25

Diffraction record for Li7CeO6. The X-ray powder pattern is calculated, not measured: it uses a cell relaxed with PBE and Cu Kα.
Peak positions follow from Bragg's law for the DFT cell and can differ from measured ones.

Structural model:
abc: 6.2887 6.2887 6.2887
angles: 53.99 53.99 53.99
Element x y z (fractional)
Li: 0.0000 0.0000 0.0000
Li: 0.0927 0.4817 0.8539
Li: 0.2834 0.8501 0.5762
Li: 0.4817 0.8539 0.0927
Li: 0.5762 0.2834 0.8501
Li: 0.8501 0.5762 0.2834
Li: 0.8539 0.0927 0.4817
Ce: 0.3588 0.3588 0.3588
O: 0.1547 0.7497 0.4336
O: 0.2291 0.6005 0.9797
O: 0.4336 0.1547 0.7497
O: 0.6005 0.9797 0.2291
O: 0.7497 0.4336 0.1547
O: 0.9797 0.2291 0.6005

Most intense lines, 10° ≤ 2θ ≤ 80°, by intensity:
d [Å]  intensity
4.726  100
4.211  80
2.519  56
1.953  33
3.118  29
5.356  28